Sr2In3Ga: theoretical powder diffractogram (λ = 1.5418 Å (Cu Kα)), based on a cell relaxed with PBE.
Neutral-atom scattering factors, no anomalous dispersion.

Top 6 peaks for 2θ from 10° to 90°, by angle:
(hkl), 2theta, Rel. int.
1 1 1, 29.5, 100
1 0 2, 29.6, 49
0 2 0, 36.3, 34
0 1 3, 36.7, 65
1 2 2, 47.6, 26
2 1 3, 57.0, 35

Cell and atoms:
Cell lengths 4.2995, 4.9437, 8.4662 Å; angles 90.00, 90.00, 90.00 degrees
Space group Pmm2 (No. 25)
One atom of each set of equivalent atoms:
Sr (0.0000, 0.0000, 0.0000)
Sr (0.0000, 0.5000, 0.4862)
In (0.5000, 0.0000, 0.6489)
In (0.5000, 0.5000, 0.1676)
In (0.5000, 0.5000, 0.8249)
Ga (0.5000, 0.0000, 0.3237)

Tb5Pm3Sm: theoretical powder diffractogram (λ = 1.5418 Å (Cu Kα)), based on a cell relaxed with PBE.
Neutral-atom scattering factors, no anomalous dispersion.

Top 6 peaks for 2θ from 10° to 90°, by angle:
(hkl), 2theta, Rel. int.
2 1 3, 28.6, 50
2 2 0, 28.9, 50
2 0 4, 30.7, 100
4 0 2, 43.1, 20
4 2 4, 52.4, 21
2 2 8, 55.6, 18

Cell and atoms:
Cell lengths 8.7282, 8.7282, 15.6582 Å; angles 90.00, 90.00, 90.00 degrees
Space group I4/mcm (No. 140)
One atom of each set of equivalent atoms:
Tb (0.0000, 0.0000, 0.0000)
Tb (0.2083, 0.2917, 0.1374)
Pm (0.0000, 0.0000, 0.2500)
Pm (0.1176, 0.3824, 0.5000)
Sm (0.0000, 0.5000, 0.2500)

Ba3Sn8Pd3: theoretical powder diffractogram (λ = 1.5418 Å (Cu Kα)), based on a cell relaxed with PBE.
Neutral-atom scattering factors, no anomalous dispersion.

Top 6 peaks for 2θ from 10° to 90°, by angle:
(hkl), 2theta, Rel. int.
6 0 -2, 29.2, 24
1 1 2, 29.5, 100
5 1 -1, 30.2, 82
6 0 1, 36.8, 31
0 2 0, 37.6, 53
6 2 1, 53.7, 35

Cell and atoms:
Cell lengths 18.8884, 4.7847, 9.7682 Å; angles 90.00, 114.73, 90.00 degrees
Space group C2/m (No. 12)
One atom of each set of equivalent atoms:
Ba (0.0000, 0.0000, 0.0000)
Ba (0.2223, 0.5000, 0.6842)
Sn (0.0264, 0.5000, 0.6943)
Sn (0.1179, 0.0000, 0.4209)
Sn (0.1258, 0.5000, 0.2476)
Sn (0.1832, 0.0000, 0.9062)
Pd (0.0000, 0.0000, 0.5000)
Pd (0.1505, 0.5000, 0.9943)

SmYGa2Co2: theoretical powder diffractogram (λ = 1.5418 Å (Cu Kα)), based on a cell relaxed with PBE.
Neutral-atom scattering factors, no anomalous dispersion.

Top 6 peaks for 2θ from 10° to 90°, by angle:
(hkl), 2theta, Rel. int.
1 0 2, 34.4, 100
1 1 0, 43.0, 50
0 0 4, 48.9, 11
0 2 2, 56.2, 24
1 1 4, 67.1, 25
2 1 2, 73.2, 21

Cell and atoms:
Cell lengths 4.2096, 4.2096, 7.4500 Å; angles 90.00, 90.00, 120.00 degrees
Space group P-3m1 (No. 164)
One atom of each set of equivalent atoms:
Sm (0.0000, 0.0000, 0.0000)
Y (0.0000, 0.0000, 0.5000)
Ga (0.3333, 0.6667, 0.2583)
Co (0.3333, 0.6667, 0.7415)

KCaZr: theoretical powder diffractogram (λ = 1.5418 Å (Cu Kα)), based on a cell relaxed with PBE.
Neutral-atom scattering factors, no anomalous dispersion.

Top 6 peaks for 2θ from 10° to 90°, by angle:
(hkl), 2theta, Rel. int.
0 0 6, 27.1, 30
1 1 3, 31.1, 100
0 2 0, 32.1, 24
1 1 5, 36.1, 18
0 2 6, 42.4, 17
1 3 3, 56.5, 16

Cell and atoms:
Cell lengths 3.9017, 5.5827, 19.7702 Å; angles 90.00, 90.00, 90.00 degrees
Space group Fmm2 (No. 42)
One atom of each set of equivalent atoms:
K (0.0000, 0.0000, 0.0000)
Ca (0.0000, 0.0000, 0.6950)
Zr (0.0000, 0.0000, 0.3310)

MgCdIn2Sn: theoretical powder diffractogram (λ = 1.5418 Å (Cu Kα)), based on a cell relaxed with PBE.
Neutral-atom scattering factors, no anomalous dispersion.

Top 6 peaks for 2θ from 10° to 90°, by angle:
(hkl), 2theta, Rel. int.
1 0 3, 27.9, 35
1 1 2, 31.9, 100
0 0 6, 37.6, 34
1 1 4, 38.8, 21
2 0 0, 41.9, 36
2 0 6, 57.6, 25

Cell and atoms:
Cell lengths 4.3103, 4.3103, 14.3587 Å; angles 90.00, 90.00, 90.00 degrees
Space group I4mm (No. 107)
One atom of each set of equivalent atoms:
Mg (0.0000, 0.0000, 0.0000)
Cd (0.0000, 0.0000, 0.1924)
In (0.0000, 0.5000, 0.3487)
Sn (0.0000, 0.0000, 0.5724)

La6Ir4Pd: theoretical powder diffractogram (λ = 1.5418 Å (Cu Kα)), based on a cell relaxed with PBE.
Neutral-atom scattering factors, no anomalous dispersion.

Top 6 peaks for 2θ from 10° to 90°, by angle:
(hkl), 2theta, Rel. int.
2 2 -1, 30.4, 55
0 0 3, 32.4, 100
2 2 -3, 37.5, 88
2 0 2, 39.1, 34
0 4 0, 43.7, 29
0 2 5, 60.0, 31

Cell and atoms:
Cell lengths 8.3245, 8.2946, 9.2675 Å; angles 90.00, 116.53, 90.00 degrees
Space group Cm (No. 8)
One atom of each set of equivalent atoms:
La (0.0000, 0.0000, 0.0000)
La (0.0284, 0.5000, 0.9995)
La (0.1228, 0.2360, 0.7156)
La (0.1944, 0.2499, 0.3578)
Ir (0.3051, 0.2327, 0.0812)
Ir (0.3163, 0.5000, 0.6345)
Ir (0.3484, 0.0000, 0.6343)
Pd (0.4447, 0.0000, 0.3584)

Cs2LaH2: theoretical powder diffractogram (λ = 1.5418 Å (Cu Kα)), based on a cell relaxed with PBE.
Neutral-atom scattering factors, no anomalous dispersion.

Top 6 peaks for 2θ from 10° to 90°, by angle:
(hkl), 2theta, Rel. int.
0 0 3, 21.9, 57
1 1 1, 24.8, 50
0 1 -1, 25.0, 100
0 1 2, 27.9, 37
1 0 2, 28.0, 36
2 1 0, 41.9, 38

Cell and atoms:
Cell lengths 4.3124, 4.3124, 12.1636 Å; angles 89.06, 89.38, 60.13 degrees
Space group P1 (No. 1)
One atom of each set of equivalent atoms:
Cs (0.0000, 0.0000, 0.0000)
Cs (0.3348, 0.3563, 0.3913)
La (0.6687, 0.6773, 0.7044)
H (0.3347, 0.3427, 0.7218)
H (0.6670, 0.6705, 0.8887)